Er8Os3: computed powder XRD pattern (Cu Kα, 1.54184 Å), based on DFT lattice parameters and positions (PBE).
Intensities are scaled so that the largest is 100.

Lattice parameters (Å, degrees): 9.4948 9.4948 11.6462 90.00 90.00 120.00
Space group R-3m (No. 166, hexagonal axes)
One atom of each set of equivalent atoms:
1 Er 0.0000 0.0000 0.2448
2 Er 0.0074 0.5037 0.7482
3 Os 0.0000 0.5000 0.5000

Main lines, low angle first (15 to 90 degrees two-theta):
- (0 2 1), 22.9 deg, intensity 21.4
- (2 0 2), 26.5 deg, intensity 21.0
- (2 2 0), 37.9 deg, intensity 100.0
- (2 0 5), 44.7 deg, intensity 11.2
- (0 0 6), 46.9 deg, intensity 5.9
- (4 0 4), 54.7 deg, intensity 17.4
- (2 2 6), 61.8 deg, intensity 7.6
- (2 4 4), 68.4 deg, intensity 26.5
- (6 0 0), 68.5 deg, intensity 8.8
- (0 4 8), 81.0 deg, intensity 11.1